Starting from DFT lattice parameters and positions (GGA-PBE), the X-ray diffraction stick pattern of CeRh6 was computed for copper Kα.
Intensities are scaled so that the largest is 100.

Cell and atoms:
Lattice parameters (Å, degrees): 8.579 5.229 10.333 90.00 90.00 90.00
Sites, in units of the cell vectors:
Ce (0.242, 0.250, 0.058)
Ce (0.258, 0.750, 0.558)
Ce (0.742, 0.250, 0.442)
Ce (0.758, 0.750, 0.942)
Rh (0.058, 0.005, 0.302)
Rh (0.058, 0.495, 0.302)
Rh (0.059, 0.750, 0.076)
Rh (0.112, 0.250, 0.520)
Rh (0.163, 0.750, 0.836)
Rh (0.186, 0.250, 0.773)
Rh (0.314, 0.750, 0.273)
Rh (0.337, 0.250, 0.336)
Rh (0.388, 0.750, 0.020)
Rh (0.441, 0.250, 0.576)
Rh (0.442, 0.505, 0.802)
Rh (0.442, 0.995, 0.802)
Rh (0.558, 0.005, 0.198)
Rh (0.558, 0.495, 0.198)
Rh (0.559, 0.750, 0.424)
Rh (0.612, 0.250, 0.980)
Rh (0.663, 0.750, 0.664)
Rh (0.686, 0.250, 0.727)
Rh (0.814, 0.750, 0.227)
Rh (0.837, 0.250, 0.164)
Rh (0.888, 0.750, 0.480)
Rh (0.941, 0.250, 0.924)
Rh (0.942, 0.505, 0.698)
Rh (0.942, 0.995, 0.698)

Largest 10 diffraction maxima, sorted by position, 2θ = 5–70°:
34.30 deg, d = 2.615 Å, I = 38
36.32 deg, d = 2.474 Å, I = 88
36.86 deg, d = 2.438 Å, I = 100
37.65 deg, d = 2.389 Å, I = 74
38.59 deg, d = 2.333 Å, I = 36
40.40 deg, d = 2.233 Å, I = 44
41.38 deg, d = 2.182 Å, I = 51
43.07 deg, d = 2.100 Å, I = 55
44.45 deg, d = 2.038 Å, I = 32
44.77 deg, d = 2.024 Å, I = 61

Starting from DFT lattice parameters and positions (GGA-PBE), the X-ray diffraction stick pattern of Al4CrS8 was computed for copper Kα.
Intensities are scaled so that the largest is 100.

Cell and atoms:
Lattice parameters (Å, degrees): 7.012 7.012 7.012 60.00 60.00 60.00
Sites, in units of the cell vectors:
Al (0.388, 0.388, 0.388)
Al (0.388, 0.388, 0.836)
Al (0.388, 0.836, 0.388)
Al (0.836, 0.388, 0.388)
Cr (0.000, 0.000, 0.000)
S (0.131, 0.623, 0.623)
S (0.132, 0.132, 0.132)
S (0.132, 0.132, 0.603)
S (0.132, 0.603, 0.132)
S (0.603, 0.132, 0.132)
S (0.623, 0.131, 0.623)
S (0.623, 0.623, 0.131)
S (0.623, 0.623, 0.623)

Largest 10 diffraction maxima, sorted by position, 2θ = 5–70°:
15.48 deg, d = 5.725 Å, I = 17
17.89 deg, d = 4.958 Å, I = 24
25.41 deg, d = 3.506 Å, I = 17
29.89 deg, d = 2.990 Å, I = 55
31.25 deg, d = 2.862 Å, I = 55
36.24 deg, d = 2.479 Å, I = 90
47.65 deg, d = 1.908 Å, I = 32
52.18 deg, d = 1.753 Å, I = 100
62.09 deg, d = 1.495 Å, I = 18
65.18 deg, d = 1.431 Å, I = 17